(1)
Structure and calculated XRD peak list of NaSbAu2 (a DFT-relaxed cell (PBE, Alexandria); copper Kα).
Neutral-atom scattering factors, no anomalous dispersion.

Atomic structure:
a b c (Å): 4.6806 10.6118 7.4074
angles (deg): 90.00 90.00 90.00
Space group Cmcm (No. 63)
Unique sites:
Na1 0.0000 0.0617 0.2500
Sb1 0.0000 0.2328 0.7500
Au1 0.0000 0.3720 0.0612

Top 10 peaks for 5° ≤ 2θ ≤ 70°, most intense first:
(hkl), two_theta, Rel. int.
1 1 0, 20.74, 1000
1 1 3, 42.25, 843
1 1 2, 31.95, 676
1 3 1, 34.00, 588
2 0 0, 38.47, 554
0 4 2, 41.89, 463
1 3 0, 31.71, 449
0 2 1, 20.59, 444
0 2 3, 40.29, 416
1 3 2, 40.17, 391



(2)
Structure and calculated XRD peak list of TiP2O2 (a DFT-relaxed cell (PBE, Alexandria); copper Kα).
Neutral-atom scattering factors, no anomalous dispersion.

Atomic structure:
a b c (Å): 3.6860 3.6860 5.6498
angles (deg): 90.00 90.00 90.00
Space group P4/mmm (No. 123)
Unique sites:
Ti1 0.0000 0.0000 0.0000
P1 0.0000 0.0000 0.5000
P2 0.5000 0.5000 0.5000
O1 0.0000 0.5000 0.0000

Top 10 peaks for 5° ≤ 2θ ≤ 70°, most intense first:
(hkl), two_theta, Rel. int.
0 0 2, 31.67, 1000
1 0 1, 28.92, 566
2 0 2, 59.93, 508
2 0 0, 49.45, 486
1 0 0, 24.14, 458
1 1 0, 34.41, 436
1 1 2, 47.46, 344
1 1 1, 38.02, 247
1 0 2, 40.22, 218
2 1 1, 58.31, 131



(3)
Structure and calculated XRD peak list of Na13Cd2 (a DFT-relaxed cell (PBE, Alexandria); copper Kα).
Neutral-atom scattering factors, no anomalous dispersion.

Atomic structure:
a b c (Å): 7.1140 8.7111 8.9744
angles (deg): 66.66 77.34 83.76
Space group P-1 (No. 2)
Unique sites:
Na1 0.0000 0.0000 0.0000
Na2 0.1260 0.4787 0.7560
Na3 0.1906 0.2015 0.1907
Na4 0.2547 0.9383 0.5818
Na5 0.3246 0.6693 0.9873
Na6 0.3551 0.4146 0.3992
Na7 0.4826 0.1429 0.7866
Cd1 0.0627 0.7613 0.3837

Top 10 peaks for 5° ≤ 2θ ≤ 70°, most intense first:
(hkl), two_theta, Rel. int.
1 1 3, 30.59, 1000
-2 1 1, 30.67, 544
2 2 1, 30.97, 527
1 0 0, 12.76, 505
0 3 2, 32.37, 453
0 0 1, 10.94, 447
1 1 -2, 32.81, 420
1 0 1, 15.14, 360
0 1 1, 12.22, 227
3 0 2, 41.05, 205



(4)
Structure and calculated XRD peak list of SrBiIO2 (a DFT-relaxed cell (PBE, Alexandria); copper Kα).
Neutral-atom scattering factors, no anomalous dispersion.

Atomic structure:
a b c (Å): 5.9514 13.8569 5.8255
angles (deg): 90.00 90.00 90.00
Space group Cmcm (No. 63)
Unique sites:
Sr1 0.0000 0.0927 0.2500
Bi1 0.0000 0.4270 0.2500
I1 0.0000 0.2433 0.7500
O1 0.2321 0.5000 0.0000

Top 10 peaks for 5° ≤ 2θ ≤ 70°, most intense first:
(hkl), two_theta, Rel. int.
1 3 1, 28.87, 1000
2 0 0, 30.03, 231
3 3 1, 52.61, 212
2 0 2, 43.48, 196
0 0 2, 30.69, 185
1 3 3, 53.45, 181
1 1 0, 16.21, 130
2 6 0, 49.99, 118
0 6 2, 50.43, 113
2 6 2, 59.82, 108



(5)
Structure and calculated XRD peak list of Na2BPdO4 (a DFT-relaxed cell (PBE, Alexandria); copper Kα).
Neutral-atom scattering factors, no anomalous dispersion.

Atomic structure:
a b c (Å): 5.5239 5.5239 5.8543
angles (deg): 90.00 90.00 90.00
Space group I-4 (No. 82)
Unique sites:
Na1 0.0000 0.0000 0.0000
Na2 0.0000 0.5000 0.2500
B1 0.0000 0.0000 0.5000
Pd1 0.0000 0.5000 0.7500
O1 0.1362 0.1735 0.6487

Top 10 peaks for 5° ≤ 2θ ≤ 70°, most intense first:
(hkl), two_theta, Rel. int.
1 0 1, 22.13, 1000
1 1 2, 38.43, 787
2 0 0, 32.42, 467
2 1 1, 39.60, 423
3 1 2, 61.85, 403
1 1 0, 22.77, 342
2 2 0, 46.50, 237
3 1 0, 52.38, 205
0 0 2, 30.54, 196
2 0 2, 45.13, 167



(6)
Structure and calculated XRD peak list of Mg2ZnRu (a DFT-relaxed cell (PBE, Alexandria); copper Kα).
Neutral-atom scattering factors, no anomalous dispersion.

Atomic structure:
a b c (Å): 3.4672 4.2403 8.7702
angles (deg): 90.00 90.00 90.00
Space group Imm2 (No. 44)
Unique sites:
Mg1 0.0000 0.0000 0.0000
Mg2 0.0000 0.5000 0.2314
Zn1 0.0000 0.0000 0.4757
Ru1 0.0000 0.5000 0.7501

Top 10 peaks for 5° ≤ 2θ ≤ 70°, most intense first:
(hkl), two_theta, Rel. int.
1 1 2, 39.36, 1000
0 1 1, 23.30, 403
0 0 4, 41.17, 206
0 2 0, 42.65, 202
1 0 1, 27.67, 160
1 0 3, 40.36, 135
0 2 4, 60.77, 125
2 0 0, 52.81, 106
2 0 4, 69.07, 84
1 2 3, 60.16, 81



(7)
Structure and calculated XRD peak list of NdTmCo10 (a DFT-relaxed cell (PBE, Alexandria); copper Kα).
Neutral-atom scattering factors, no anomalous dispersion.

Atomic structure:
a b c (Å): 3.9480 4.9343 8.5962
angles (deg): 90.00 90.00 90.00
Space group Pmmm (No. 47)
Unique sites:
Nd1 0.0000 0.0000 0.0000
Tm1 0.0000 0.5000 0.5000
Co1 0.0000 0.0000 0.3395
Co2 0.0000 0.5000 0.1774
Co3 0.5000 0.0000 0.5000
Co4 0.5000 0.2538 0.2557
Co5 0.5000 0.5000 0.0000

Top 10 peaks for 5° ≤ 2θ ≤ 70°, most intense first:
(hkl), two_theta, Rel. int.
1 1 3, 43.10, 1000
1 1 1, 30.79, 796
1 2 0, 43.24, 499
2 0 0, 45.98, 389
0 2 2, 42.24, 351
0 1 3, 36.25, 330
2 2 2, 64.19, 195
0 0 4, 42.04, 190
0 2 0, 36.42, 166
2 1 3, 59.91, 150



(8)
Structure and calculated XRD peak list of Cu2Ni2Cl7 (a DFT-relaxed cell (PBE, Alexandria); copper Kα).
Neutral-atom scattering factors, no anomalous dispersion.

Atomic structure:
a b c (Å): 9.5470 10.2834 12.1867
angles (deg): 90.00 111.91 90.00
Space group C2/c (No. 15)
Unique sites:
Cu1 0.0344 0.1287 0.4272
Ni1 0.1903 0.4564 0.2021
Cl1 0.0000 0.4765 0.7500
Cl2 0.0977 0.0677 0.6369
Cl3 0.1373 0.2815 0.0893
Cl4 0.2480 0.1178 0.3944

Top 10 peaks for 5° ≤ 2θ ≤ 70°, most intense first:
(hkl), two_theta, Rel. int.
1 1 2, 23.26, 1000
2 0 -2, 20.34, 719
0 2 2, 23.39, 539
2 2 -1, 25.46, 511
0 2 0, 17.23, 402
1 1 -1, 13.30, 347
0 2 3, 29.38, 333
1 1 -3, 23.58, 309
1 3 0, 27.93, 299
1 1 0, 13.19, 229



(9)
Structure and calculated XRD peak list of Ac2Mg3Tl5 (a DFT-relaxed cell (PBE, Alexandria); copper Kα).
Neutral-atom scattering factors, no anomalous dispersion.

Atomic structure:
a b c (Å): 11.7369 14.2111 6.9762
angles (deg): 90.00 90.00 90.00
Space group Ibam (No. 72)
Unique sites:
Ac1 0.2340 0.1335 0.0000
Mg1 0.0000 0.5000 0.2500
Mg2 0.1011 0.1392 0.5000
Tl1 0.0000 0.0000 0.2500
Tl2 0.0000 0.2799 0.2500
Tl3 0.1667 0.3990 0.0000

Top 10 peaks for 5° ≤ 2θ ≤ 70°, most intense first:
(hkl), two_theta, Rel. int.
2 0 2, 29.80, 1000
2 4 0, 29.39, 798
0 4 2, 36.09, 692
3 2 1, 29.03, 303
2 3 1, 27.37, 267
5 2 1, 42.58, 257
1 3 0, 20.22, 238
2 4 4, 61.28, 207
4 0 0, 30.46, 190
4 4 2, 47.93, 181



(10)
Structure and calculated XRD peak list of Ac7GaI12 (a DFT-relaxed cell (PBE, Alexandria); copper Kα).
Neutral-atom scattering factors, no anomalous dispersion.

Atomic structure:
a b c (Å): 17.0311 17.0311 11.1507
angles (deg): 90.00 90.00 120.00
Space group R-3 (No. 148, hexagonal axes)
Unique sites:
Ac1 0.0000 0.0000 0.0000
Ac2 0.0459 0.1648 0.3383
Ga1 0.0000 0.0000 0.5000
I1 0.0250 0.5880 0.1651
I2 0.0522 0.1886 0.8459

Top 10 peaks for 5° ≤ 2θ ≤ 70°, most intense first:
(hkl), two_theta, Rel. int.
3 1 2, 27.03, 1000
2 5 0, 38.10, 382
4 -3 4, 39.10, 372
1 1 0, 10.39, 251
8 -6 2, 47.34, 206
2 5 6, 63.72, 162
5 6 2, 62.32, 160
6 2 4, 55.74, 130
11 -5 4, 69.52, 121
1 1 3, 26.16, 120



(11)
Structure and calculated XRD peak list of Pm3Tm2In2 (a DFT-relaxed cell (PBE, Alexandria); copper Kα).
Neutral-atom scattering factors, no anomalous dispersion.

Atomic structure:
a b c (Å): 13.2352 3.7444 8.6027
angles (deg): 90.00 99.75 90.00
Space group C2/m (No. 12)
Unique sites:
Pm1 0.0000 0.0000 0.0000
Pm2 0.2409 0.5000 0.1665
Tm1 0.1362 0.0000 0.4440
In1 0.0527 0.5000 0.7107

Top 10 peaks for 5° ≤ 2θ ≤ 70°, most intense first:
(hkl), two_theta, Rel. int.
3 1 -1, 32.14, 1000
1 1 2, 33.40, 904
2 0 -3, 32.32, 504
4 0 1, 31.01, 460
5 1 -4, 56.71, 182
2 2 -3, 59.60, 178
6 0 -2, 43.44, 170
0 2 0, 48.63, 170
1 1 -5, 59.14, 166
4 2 1, 58.80, 148



(12)
Structure and calculated XRD peak list of TbNb2Fe9 (a DFT-relaxed cell (PBE, Alexandria); copper Kα).
Neutral-atom scattering factors, no anomalous dispersion.

Atomic structure:
a b c (Å): 4.9176 4.9176 23.5885
angles (deg): 90.00 90.00 120.00
Space group R-3m (No. 166, hexagonal axes)
Unique sites:
Tb1 0.0000 0.0000 0.0000
Nb1 0.0000 0.0000 0.1438
Fe1 0.0000 0.0000 0.3333
Fe2 0.0000 0.0000 0.5000
Fe3 0.0033 0.5016 0.9136

Top 10 peaks for 5° ≤ 2θ ≤ 70°, most intense first:
(hkl), two_theta, Rel. int.
1 1 6, 43.41, 1000
1 1 0, 36.54, 412
0 2 1, 42.63, 338
1 0 7, 33.92, 313
0 1 8, 37.08, 239
0 0 12, 46.18, 175
2 0 2, 43.17, 119
2 0 5, 46.81, 118
2 1 7, 64.11, 103
1 2 8, 66.14, 78